(1)
Rb2RuCl5: theoretical X-ray powder pattern (Cu Kα, 1.54184 Å), based on a GGA-PBE-relaxed structure.
Neutral-atom scattering factors, no anomalous dispersion.

Most intense lines, 10° ≤ 2θ ≤ 90°, in order of rising 2θ:
- hkl 0 0 2, 12.11 deg, intensity 472
- hkl 0 1 3, 22.27 deg, intensity 1000
- hkl 2 0 2, 23.04 deg, intensity 538
- hkl 0 2 0, 25.60 deg, intensity 630
- hkl 2 1 2, 26.40 deg, intensity 495
- hkl 1 0 5, 32.16 deg, intensity 585
- hkl 2 2 1, 32.99 deg, intensity 582
- hkl 2 2 2, 34.71 deg, intensity 741
- hkl 2 2 3, 37.41 deg, intensity 579
- hkl 4 2 3, 51.56 deg, intensity 508

Atomic structure:
Cell: 9.091 6.960 14.618 Å, 90.00 90.00 90.00°
Space group Pnma (No. 62)
Inequivalent atoms, fractional coordinates:
Rb 0.030 0.250 0.204 (multiplicity 4)
Rb 0.166 0.750 0.417 (multiplicity 4)
Ru 0.166 0.750 0.057 (multiplicity 4)
Cl 0.000 0.000 0.000 (multiplicity 4)
Cl 0.034 0.750 0.198 (multiplicity 4)
Cl 0.176 0.013 0.612 (multiplicity 8)
Cl 0.207 0.250 0.411 (multiplicity 4)


(2)
Rb3RuCl7: theoretical X-ray powder pattern (Cu Kα, 1.54184 Å), based on a GGA-PBE-relaxed structure.
Neutral-atom scattering factors, no anomalous dispersion.

Most intense lines, 10° ≤ 2θ ≤ 90°, in order of rising 2θ:
- hkl 1 1 0, 12.58 deg, intensity 466
- hkl 2 0 1, 21.94 deg, intensity 905
- hkl 2 2 0, 25.31 deg, intensity 641
- hkl 0 0 2, 25.53 deg, intensity 343
- hkl 3 1 0, 28.36 deg, intensity 490
- hkl 2 1 2, 32.61 deg, intensity 1000
- hkl 2 2 2, 36.26 deg, intensity 473
- hkl 3 3 0, 38.38 deg, intensity 256
- hkl 4 2 0, 40.53 deg, intensity 244
- hkl 4 2 2, 48.51 deg, intensity 339

Atomic structure:
Cell: 9.955 9.955 6.977 Å, 90.00 90.00 90.00°
Space group P4/mbm (No. 127)
Inequivalent atoms, fractional coordinates:
Rb 0.000 0.000 0.000 (multiplicity 2)
Rb 0.177 0.323 0.500 (multiplicity 4)
Ru 0.000 0.500 0.000 (multiplicity 2)
Cl 0.000 0.000 0.500 (multiplicity 2)
Cl 0.117 0.617 0.240 (multiplicity 8)
Cl 0.167 0.333 0.000 (multiplicity 4)


(3)
RbTlRuCl6: theoretical X-ray powder pattern (Cu Kα, 1.54184 Å), based on a GGA-PBE-relaxed structure.
Neutral-atom scattering factors, no anomalous dispersion.

Most intense lines, 10° ≤ 2θ ≤ 90°, in order of rising 2θ:
- hkl 1 0 0, 13.54 deg, intensity 144
- hkl 1 0 1, 19.74 deg, intensity 1000
- hkl 1 1 0, 23.56 deg, intensity 349
- hkl 2 0 1, 30.92 deg, intensity 306
- hkl 2 -1 2, 37.55 deg, intensity 459
- hkl 3 -1 1, 39.24 deg, intensity 387
- hkl 3 0 0, 41.41 deg, intensity 179
- hkl 4 -1 1, 52.57 deg, intensity 150
- hkl 2 2 2, 57.13 deg, intensity 129
- hkl 2 1 3, 58.21 deg, intensity 134

Atomic structure:
Cell: 7.5527 7.5527 6.1957 Å, 90.00 90.00 120.00°
Space group P312 (No. 149)
Inequivalent atoms, fractional coordinates:
Rb 0.0000 0.0000 0.0000 (multiplicity 1)
Tl 0.6667 0.3333 0.5000 (multiplicity 1)
Ru 0.3333 0.6667 0.0000 (multiplicity 1)
Cl 0.0767 0.4167 0.2228 (multiplicity 6)


(4)
RbS2Cl4: theoretical X-ray powder pattern (Cu Kα, 1.54184 Å), based on a GGA-PBE-relaxed structure.
Neutral-atom scattering factors, no anomalous dispersion.

Most intense lines, 10° ≤ 2θ ≤ 90°, in order of rising 2θ:
- hkl -1 1 1, 16.98 deg, intensity 994
- hkl 0 1 -2, 19.14 deg, intensity 1000
- hkl 0 0 2, 19.50 deg, intensity 534
- hkl 1 1 -2, 21.82 deg, intensity 480
- hkl 0 1 2, 27.11 deg, intensity 728
- hkl -2 1 2, 27.42 deg, intensity 299
- hkl 1 -2 2, 28.19 deg, intensity 396
- hkl 2 1 -3, 33.67 deg, intensity 505
- hkl 1 -2 3, 34.72 deg, intensity 299
- hkl -3 1 1, 34.89 deg, intensity 313

Atomic structure:
Cell: 7.719 7.722 10.183 Å, 103.87 106.70 107.69°
Space group P1 (No. 1)
Inequivalent atoms, fractional coordinates:
Rb 0.000 0.000 0.000 (multiplicity 1)
Rb 0.355 0.854 0.500 (multiplicity 1)
S 0.036 0.302 0.704 (multiplicity 1)
S 0.343 0.380 0.769 (multiplicity 1)
S 0.598 0.332 0.296 (multiplicity 1)
S 0.611 0.574 0.230 (multiplicity 1)
Cl 0.005 0.562 0.710 (multiplicity 1)
Cl 0.137 0.020 0.715 (multiplicity 1)
Cl 0.305 0.423 0.284 (multiplicity 1)
Cl 0.370 0.943 0.209 (multiplicity 1)
Cl 0.471 0.675 0.800 (multiplicity 1)
Cl 0.732 0.160 0.791 (multiplicity 1)
Cl 0.853 0.296 0.291 (multiplicity 1)
Cl 0.876 0.672 0.200 (multiplicity 1)